Diffraction record for PrAl22O34. The X-ray diffraction stick pattern is calculated, not measured: it uses DFT lattice parameters and positions (GGA-PBE) and λ = 1.5418 Å (Cu Kα).
No peak broadening, texture or thermal motion is included.

Cell and atoms:
a b c (Å): 5.6508 9.7840 11.8103
angles (deg): 105.78 90.07 90.04
Element x y z (fractional)
Pr (0.0000, 0.0000, 0.0000)
Al (0.1852, 0.5372, 0.3011)
Al (0.1896, 0.8428, 0.7242)
Al (0.1917, 0.3493, 0.7384)
Al (0.1928, 0.0402, 0.3113)
Al (0.4360, 0.2398, 0.1658)
Al (0.4379, 0.0444, 0.5700)
Al (0.4382, 0.1419, 0.8754)
Al (0.4385, 0.3434, 0.4699)
Al (0.4381, 0.7894, 0.3040)
Al (0.4397, 0.5967, 0.7379)
Al (0.4397, 0.6900, 0.5166)
Al (0.6858, 0.0388, 0.3072)
Al (0.6884, 0.3503, 0.7385)
Al (0.6880, 0.8456, 0.7288)
Al (0.6891, 0.5366, 0.2997)
Al (0.9374, 0.0964, 0.7298)
Al (0.9369, 0.2912, 0.3036)
Al (0.9374, 0.5417, 0.5671)
Al (0.9380, 0.1956, 0.5212)
Al (0.9382, 0.7471, 0.1682)
Al (0.9376, 0.8424, 0.4657)
Al (0.9402, 0.6460, 0.8741)
O (0.1733, 0.1471, 0.6207)
O (0.1728, 0.2383, 0.4212)
O (0.1818, 0.0338, 0.8099)
O (0.1879, 0.3470, 0.2307)
O (0.1891, 0.5402, 0.8127)
O (0.1889, 0.8512, 0.2326)
O (0.2007, 0.6483, 0.6181)
O (0.2027, 0.7385, 0.4197)
O (0.3434, 0.1625, 0.0199)
O (0.4375, 0.0961, 0.2325)
O (0.4369, 0.5997, 0.2348)
O (0.4380, 0.7875, 0.8009)
O (0.4390, 0.3970, 0.6332)
O (0.4392, 0.5023, 0.4202)
O (0.4391, 0.8839, 0.6193)
O (0.4390, 0.9912, 0.4112)
O (0.4409, 0.2879, 0.8128)
O (0.6733, 0.7383, 0.4193)
O (0.6758, 0.6485, 0.6194)
O (0.6883, 0.3455, 0.2250)
O (0.6875, 0.8498, 0.2325)
O (0.6897, 0.5409, 0.8137)
O (0.6997, 0.0372, 0.8181)
O (0.7033, 0.1466, 0.6209)
O (0.7047, 0.2384, 0.4192)
O (0.9359, 0.4893, 0.4060)
O (0.9363, 0.8967, 0.6283)
O (0.9373, 0.3839, 0.6199)
O (0.9383, 0.0062, 0.4206)
O (0.9376, 0.5958, 0.2245)
O (0.9398, 0.2854, 0.8041)
O (0.9408, 0.7970, 0.8110)
O (0.9419, 0.0968, 0.2312)
O (0.9430, 0.7466, 0.0203)

Main lines, most intense first (10 to 90 degrees two-theta):
| two_theta | I_rel |
| --- | --- |
| 35.50 | 1000 |
| 66.16 | 877 |
| 15.63 | 797 |
| 34.22 | 703 |
| 31.68 | 699 |
| 45.69 | 661 |
| 10.44 | 654 |
| 38.28 | 606 |
| 20.92 | 576 |
| 18.31 | 469 |